ScB6Ir6: calculated X-ray powder pattern (a wavelength of 1.5418 Å), based on DFT lattice parameters and positions (GGA-PBE).

Lattice parameters (Å, degrees): 4.771 7.676 7.861 90.00 90.00 90.00
Space group Immm (No. 71)
Inequivalent atoms, fractional coordinates:
Sc 0.000 0.000 0.000
B 0.000 0.270 0.500
B 0.250 0.250 0.250
Ir 0.000 0.000 0.336
Ir 0.000 0.329 0.000
Ir 0.000 0.500 0.320

The 10 most intense peaks (10° ≤ 2θ ≤ 80°), low angle first:
(0 2 0), 23.17°, 3.838 Å, rel. 42.3; (1 2 1), 32.02°, 2.795 Å, rel. 64.7; (0 2 2), 32.61°, 2.746 Å, rel. 39.5; (2 0 0), 37.71°, 2.385 Å, rel. 56.9; (1 0 3), 39.22°, 2.297 Å, rel. 100.0; (2 2 0), 44.73°, 2.026 Å, rel. 19.3; (1 2 3), 46.05°, 1.971 Å, rel. 34.0; (1 3 2), 46.42°, 1.956 Å, rel. 22.3; (2 2 2), 50.69°, 1.801 Å, rel. 28.5; (3 0 3), 69.09°, 1.360 Å, rel. 19.3